# 1
The following is a theoretical powder XRD pattern of TmNi2As2. It was derived from a crystal structure in Alexandria, relaxed with PBE, using Cu Kα (weighted mean of Kα1 and Kα2).

Main lines, low angle first (15 to 90 degrees two-theta):
28.6°, I 39; 29.3°, I 28; 32.7°, I 33; 35.2°, I 100; 37.0°, I 63; 39.0°, I 67; 41.4°, I 32; 49.5°, I 52; 52.0°, I 34; 69.7°, I 18

Structure:
a b c (Å): 5.605 9.728 6.707
angles (deg): 90.00 114.64 90.00
Space group C2/c (No. 15)
Unique sites:
Tm 0.000 0.125 0.250 [4 per cell]
Ni 0.102 0.374 0.957 [8 per cell]
As 0.000 0.172 0.750 [4 per cell]
As 0.000 0.424 0.250 [4 per cell]



# 2
The following is a theoretical powder XRD pattern of TlPb. It was derived from a crystal structure in Alexandria, relaxed with PBE, using Cu Kα (weighted mean of Kα1 and Kα2).

Main lines, low angle first (15 to 90 degrees two-theta):
31.1°, I 100; 34.8°, I 19; 35.2°, I 18; 38.1°, I 15; 50.3°, I 13; 52.5°, I 12; 60.0°, I 16; 60.6°, I 15; 64.5°, I 13; 64.8°, I 13

Structure:
a b c (Å): 4.726 5.162 5.097
angles (deg): 90.00 90.00 90.00
Space group Cmmm (No. 65)
Unique sites:
Tl 0.000 0.000 0.000 [2 per cell]
Pb 0.000 0.500 0.500 [2 per cell]



# 3
The following is a theoretical powder XRD pattern of MgH5Pd6. It was derived from a crystal structure in Alexandria, relaxed with PBE, using Cu Kα (weighted mean of Kα1 and Kα2).

Main lines, low angle first (15 to 90 degrees two-theta):
37.7°, I 34; 37.9°, I 100; 42.3°, I 25; 42.4°, I 25; 47.2°, I 18; 61.3°, I 9; 61.7°, I 8; 65.2°, I 14; 74.4°, I 9; 74.6°, I 17

Structure:
a b c (Å): 4.907 5.137 5.143
angles (deg): 98.25 104.63 96.44
Space group P-1 (No. 2)
Unique sites:
Mg 0.000 0.000 0.000 [1 per cell]
H 0.117 0.820 0.589 [2 per cell]
H 0.233 0.432 0.962 [2 per cell]
H 0.500 0.500 0.500 [1 per cell]
Pd 0.146 0.583 0.277 [2 per cell]
Pd 0.283 0.145 0.563 [2 per cell]
Pd 0.430 0.718 0.851 [2 per cell]



# 4
The following is a theoretical powder XRD pattern of USb2Pd2. It was derived from a crystal structure in Alexandria, relaxed with PBE, using Cu Kα (weighted mean of Kα1 and Kα2).

Main lines, low angle first (15 to 90 degrees two-theta):
23.9°, I 55; 26.6°, I 51; 27.7°, I 37; 28.3°, I 53; 33.5°, I 97; 34.6°, I 100; 41.9°, I 80; 48.0°, I 56; 49.0°, I 37; 62.3°, I 33

Structure:
a b c (Å): 8.513 10.696 6.569
angles (deg): 90.00 127.96 90.00
Space group C2/c (No. 15)
Unique sites:
U 0.000 0.145 0.250 [4 per cell]
Sb 0.000 0.144 0.750 [4 per cell]
Sb 0.000 0.439 0.250 [4 per cell]
Pd 0.172 0.351 0.732 [8 per cell]